Calculated XRD peak list
Compound: Tm2Tl4Pb
Radiation: Cu Ka
Structure: a cell relaxed with GGA-PBE

Crystal structure
a b c (Å): 8.432 8.432 7.920
angles (deg): 117.55 117.55 24.64
Fractional positions:
Tm 0.216 0.216 0.146
Tm 0.784 0.784 0.854
Tl 0.090 0.090 0.694
Tl 0.357 0.357 0.601
Tl 0.643 0.643 0.399
Tl 0.910 0.910 0.306
Pb 0.000 0.000 0.000

Top 10 peaks for 2θ from 10° to 90°, by intensity:
2θ (°)  Rel. int.
30.0  100.0
32.8  69.6
34.5  51.3
34.2  49.7
33.6  49.5
38.5  42.4
50.8  37.3
37.0  27.8
61.7  27.3
62.8  21.2


Calculated XRD peak list
Compound: Rb2TbHF6
Radiation: Cu Ka
Structure: a cell relaxed with GGA-PBE

Crystal structure
a b c (Å): 7.077 6.078 6.071
angles (deg): 71.26 54.41 54.33
Fractional positions:
Rb 0.250 0.250 0.250
Rb 0.750 0.750 0.750
Tb 0.000 0.000 0.000
H 0.500 0.500 0.500
F 0.216 0.216 0.784
F 0.216 0.784 0.216
F 0.331 0.669 0.669
F 0.669 0.331 0.331
F 0.784 0.216 0.784
F 0.784 0.784 0.216

Top 10 peaks for 2θ from 10° to 90°, by intensity:
2θ (°)  Rel. int.
31.5  100.0
18.0  92.5
25.2  80.3
35.9  68.0
48.5  55.2
31.1  30.1
41.4  21.3
51.7  21.2
48.2  19.6
49.0  18.8


Repeat the first record exactly.
Calculated XRD peak list
Compound: Tm2Tl4Pb
Radiation: Cu Ka
Structure: a cell relaxed with GGA-PBE

Crystal structure
a b c (Å): 8.432 8.432 7.920
angles (deg): 117.55 117.55 24.64
Fractional positions:
Tm 0.216 0.216 0.146
Tm 0.784 0.784 0.854
Tl 0.090 0.090 0.694
Tl 0.357 0.357 0.601
Tl 0.643 0.643 0.399
Tl 0.910 0.910 0.306
Pb 0.000 0.000 0.000

Top 10 peaks for 2θ from 10° to 90°, by intensity:
2θ (°)  Rel. int.
30.0  100.0
32.8  69.6
34.5  51.3
34.2  49.7
33.6  49.5
38.5  42.4
50.8  37.3
37.0  27.8
61.7  27.3
62.8  21.2